# 1
Diffraction record for GdB4Ir4. The X-ray powder pattern is simulated, not measured: it uses a DFT-relaxed cell (PBE, the Materials Project) and Cu Kα X-rays.
Intensities are scaled so that the largest is 100.

Peak list (10 most intense, 10° ≤ 2θ ≤ 80°, most intense first)
Position (°2θ)	d_spacing	I/Imax	hkl
34.5	2.600	100	1 2 1
37.1	2.426	64	3 1 0
40.2	2.243	27	2 2 1
47.1	1.929	23	1 0 2
27.8	3.212	23	1 1 1
65.1	1.432	20	4 3 1
16.3	5.425	18	1 1 0
58.7	1.572	15	3 0 2
53.4	1.716	15	2 4 0
43.7	2.072	14	1 3 1

Crystal structure
abc: 7.673 7.673 3.986
angles: 90.00 90.00 90.00
Positions (direct):
1 Gd 0.250 0.250 0.250
2 Gd 0.750 0.750 0.750
3 B 0.029 0.591 0.138
4 B 0.091 0.971 0.638
5 B 0.409 0.529 0.638
6 B 0.471 0.909 0.138
7 B 0.529 0.091 0.862
8 B 0.591 0.471 0.362
9 B 0.909 0.029 0.362
10 B 0.971 0.409 0.862
11 Ir 0.090 0.859 0.136
12 Ir 0.141 0.590 0.636
13 Ir 0.359 0.910 0.636
14 Ir 0.410 0.641 0.136
15 Ir 0.590 0.359 0.864
16 Ir 0.641 0.090 0.364
17 Ir 0.859 0.410 0.364
18 Ir 0.910 0.141 0.864

# 2
Diffraction record for K3GdB2O6. The X-ray powder pattern is simulated, not measured: it uses a DFT-relaxed cell (PBE, the Materials Project) and Cu Kα X-rays.
Intensities are scaled so that the largest is 100.

Peak list (10 most intense, 10° ≤ 2θ ≤ 80°, most intense first)
Position (°2θ)	d_spacing	I/Imax	hkl
14.7	6.020	100	0 1 1
31.3	2.857	71	1 2 2
23.3	3.825	42	2 1 0
33.7	2.661	35	3 0 2
22.4	3.968	34	1 1 2
21.1	4.203	34	2 0 1
25.0	3.565	34	0 2 0
31.9	2.806	33	0 0 4
12.5	7.055	32	1 0 1
39.8	2.265	28	4 0 0

Crystal structure
abc: 9.064 7.130 11.236
angles: 90.00 90.00 90.00
Positions (direct):
1 K 0.061 0.250 0.130
2 K 0.199 0.004 0.402
3 K 0.199 0.496 0.402
4 K 0.301 0.504 0.902
5 K 0.301 0.996 0.902
6 K 0.439 0.750 0.630
7 K 0.561 0.250 0.370
8 K 0.699 0.004 0.098
9 K 0.699 0.496 0.098
10 K 0.801 0.504 0.598
11 K 0.801 0.996 0.598
12 K 0.939 0.750 0.870
13 Gd 0.126 0.250 0.669
14 Gd 0.374 0.750 0.169
15 Gd 0.626 0.250 0.831
16 Gd 0.874 0.750 0.331
17 B 0.062 0.750 0.127
18 B 0.089 0.750 0.616
19 B 0.411 0.250 0.116
20 B 0.438 0.250 0.627
21 B 0.562 0.750 0.373
22 B 0.589 0.750 0.884
23 B 0.911 0.250 0.384
24 B 0.938 0.250 0.873
25 O 0.008 0.750 0.510
26 O 0.089 0.250 0.884
27 O 0.121 0.750 0.243
28 O 0.129 0.580 0.670
29 O 0.129 0.920 0.670
30 O 0.161 0.750 0.033
31 O 0.339 0.250 0.533
32 O 0.371 0.080 0.170
33 O 0.371 0.420 0.170
34 O 0.379 0.250 0.743
35 O 0.411 0.750 0.384
36 O 0.492 0.250 0.010
37 O 0.508 0.750 0.990
38 O 0.589 0.250 0.616
39 O 0.621 0.750 0.257
40 O 0.629 0.580 0.830
41 O 0.629 0.920 0.830
42 O 0.661 0.750 0.467
43 O 0.839 0.250 0.967
44 O 0.871 0.080 0.330
45 O 0.871 0.420 0.330
46 O 0.879 0.250 0.757
47 O 0.911 0.750 0.116
48 O 0.992 0.250 0.490